[1]
Ca9Mn2N8: calculated powder X-ray diffraction pattern (CuKα), based on the PBE geometry in the Materials Project.

Main lines, in order of rising 2θ (5 to 70 degrees two-theta):
2θ 12.64, intensity 39; 2θ 21.35, intensity 30; 2θ 29.34, intensity 36; 2θ 30.25, intensity 64; 2θ 31.64, intensity 28; 2θ 32.44, intensity 58; 2θ 34.94, intensity 31; 2θ 36.62, intensity 100; 2θ 37.51, intensity 27; 2θ 38.55, intensity 46

Crystal structure
Lattice parameters (Å, degrees): 9.6252 9.6252 7.8704 110.91 110.91 29.54
Fractional coordinates of all 19 atoms:
Ca 0.0000 0.0000 0.0000
Ca 0.0869 0.0869 0.4864
Ca 0.1727 0.1727 0.9481
Ca 0.3061 0.3061 0.6800
Ca 0.4624 0.4624 0.2629
Ca 0.5376 0.5376 0.7371
Ca 0.6939 0.6939 0.3200
Ca 0.8273 0.8273 0.0519
Ca 0.9131 0.9131 0.5136
Mn 0.3071 0.3071 0.3000
Mn 0.6929 0.6929 0.7000
N 0.0364 0.0364 0.7482
N 0.2157 0.2157 0.3115
N 0.3175 0.3175 0.0937
N 0.3908 0.3908 0.4978
N 0.6092 0.6092 0.5022
N 0.6825 0.6825 0.9063
N 0.7843 0.7843 0.6885
N 0.9636 0.9636 0.2518

***

[2]
CaMnN2: calculated powder X-ray diffraction pattern (CuKα), based on the PBE geometry in the Materials Project.

Main lines, in order of rising 2θ (5 to 70 degrees two-theta):
2θ 16.66, intensity 14; 2θ 33.50, intensity 6; 2θ 33.68, intensity 26; 2θ 34.58, intensity 13; 2θ 37.63, intensity 100; 2θ 42.31, intensity 44; 2θ 48.24, intensity 18; 2θ 55.13, intensity 7; 2θ 59.89, intensity 31; 2θ 62.85, intensity 27

Crystal structure
Lattice parameters (Å, degrees): 3.0887 3.0887 10.6457 90.00 90.00 120.00
Fractional coordinates of all 8 atoms:
Ca 0.3333 0.6667 0.2500
Ca 0.6667 0.3333 0.7500
Mn 0.0000 0.0000 0.0000
Mn 0.0000 0.0000 0.5000
N 0.3333 0.6667 0.5981
N 0.3333 0.6667 0.9019
N 0.6667 0.3333 0.0981
N 0.6667 0.3333 0.4019

***

[3]
Ca5MnN4: calculated powder X-ray diffraction pattern (CuKα), based on the PBE geometry in the Materials Project.

Main lines, in order of rising 2θ (5 to 70 degrees two-theta):
2θ 18.83, intensity 27; 2θ 28.75, intensity 30; 2θ 30.65, intensity 56; 2θ 30.89, intensity 86; 2θ 33.14, intensity 67; 2θ 37.08, intensity 100; 2θ 45.77, intensity 72; 2θ 49.70, intensity 28; 2θ 63.61, intensity 31; 2θ 65.66, intensity 31

Crystal structure
Lattice parameters (Å, degrees): 7.3376 7.9965 5.8329 90.00 90.00 90.00
Fractional coordinates of all 20 atoms:
Ca 0.0100 0.0557 0.2414
Ca 0.0100 0.4443 0.2414
Ca 0.2500 0.2500 0.6797
Ca 0.4900 0.0557 0.2414
Ca 0.4900 0.4443 0.2414
Ca 0.5100 0.5557 0.7586
Ca 0.5100 0.9443 0.7586
Ca 0.7500 0.7500 0.3203
Ca 0.9900 0.5557 0.7586
Ca 0.9900 0.9443 0.7586
Mn 0.2500 0.7500 0.3185
Mn 0.7500 0.2500 0.6815
N 0.0357 0.7500 0.1303
N 0.2500 0.5355 0.4928
N 0.2500 0.9645 0.4928
N 0.4643 0.7500 0.1303
N 0.5357 0.2500 0.8697
N 0.7500 0.0355 0.5072
N 0.7500 0.4645 0.5072
N 0.9643 0.2500 0.8697

***

[4]
Ca6MnN5: calculated powder X-ray diffraction pattern (CuKα), based on the PBE geometry in the Materials Project.

Main lines, in order of rising 2θ (5 to 70 degrees two-theta):
2θ 21.87, intensity 84; 2θ 29.56, intensity 47; 2θ 33.19, intensity 49; 2θ 33.43, intensity 38; 2θ 36.15, intensity 100; 2θ 41.15, intensity 65; 2θ 45.04, intensity 25; 2θ 46.92, intensity 35; 2θ 50.74, intensity 37; 2θ 69.82, intensity 20

Crystal structure
Lattice parameters (Å, degrees): 6.2331 6.2331 12.3520 90.00 90.00 120.00
Fractional coordinates of all 24 atoms:
Ca 0.0000 0.3944 0.1183
Ca 0.0000 0.3944 0.3817
Ca 0.0000 0.6056 0.6183
Ca 0.0000 0.6056 0.8817
Ca 0.3944 0.0000 0.1183
Ca 0.3944 0.0000 0.3817
Ca 0.3944 0.3944 0.6183
Ca 0.3944 0.3944 0.8817
Ca 0.6056 0.0000 0.6183
Ca 0.6056 0.0000 0.8817
Ca 0.6056 0.6056 0.1183
Ca 0.6056 0.6056 0.3817
Mn 0.0000 0.0000 0.2500
Mn 0.0000 0.0000 0.7500
N 0.0000 0.2862 0.7500
N 0.0000 0.7138 0.2500
N 0.2862 0.0000 0.7500
N 0.2862 0.2862 0.2500
N 0.3333 0.6667 0.0000
N 0.3333 0.6667 0.5000
N 0.6667 0.3333 0.0000
N 0.6667 0.3333 0.5000
N 0.7138 0.0000 0.2500
N 0.7138 0.7138 0.7500

***

[5]
Ca11Mn2N10: calculated powder X-ray diffraction pattern (CuKα), based on the PBE geometry in the Materials Project.

Main lines, in order of rising 2θ (5 to 70 degrees two-theta):
2θ 21.58, intensity 68; 2θ 21.74, intensity 100; 2θ 22.11, intensity 79; 2θ 29.69, intensity 68; 2θ 32.51, intensity 97; 2θ 33.70, intensity 92; 2θ 35.30, intensity 47; 2θ 36.22, intensity 97; 2θ 41.24, intensity 43; 2θ 49.65, intensity 50

Crystal structure
Lattice parameters (Å, degrees): 6.2153 6.2153 12.2948 90.27 90.27 117.60
Fractional coordinates of all 23 atoms:
Ca 0.0000 0.0000 0.0000
Ca 0.0247 0.0247 0.7056
Ca 0.0537 0.6123 0.1997
Ca 0.1958 0.1958 0.4483
Ca 0.2007 0.5879 0.9588
Ca 0.2206 0.6105 0.6969
Ca 0.5879 0.2007 0.9588
Ca 0.6070 0.9950 0.4674
Ca 0.6105 0.2206 0.6969
Ca 0.6123 0.0537 0.1997
Ca 0.9950 0.6070 0.4674
Mn 0.5917 0.5917 0.3303
Mn 0.6288 0.6288 0.8275
N 0.2759 0.9433 0.5811
N 0.2895 0.9120 0.0746
N 0.3329 0.6190 0.3483
N 0.3492 0.3492 0.8271
N 0.6111 0.8975 0.8203
N 0.6190 0.3329 0.3483
N 0.8547 0.8547 0.3567
N 0.8975 0.6111 0.8203
N 0.9120 0.2895 0.0746
N 0.9433 0.2759 0.5811

***

Repeat the fourth record exactly.
Ca6MnN5: calculated powder X-ray diffraction pattern (CuKα), based on the PBE geometry in the Materials Project.

Main lines, in order of rising 2θ (5 to 70 degrees two-theta):
2θ 21.87, intensity 84; 2θ 29.56, intensity 47; 2θ 33.19, intensity 49; 2θ 33.43, intensity 38; 2θ 36.15, intensity 100; 2θ 41.15, intensity 65; 2θ 45.04, intensity 25; 2θ 46.92, intensity 35; 2θ 50.74, intensity 37; 2θ 69.82, intensity 20

Crystal structure
Lattice parameters (Å, degrees): 6.2331 6.2331 12.3520 90.00 90.00 120.00
Fractional coordinates of all 24 atoms:
Ca 0.0000 0.3944 0.1183
Ca 0.0000 0.3944 0.3817
Ca 0.0000 0.6056 0.6183
Ca 0.0000 0.6056 0.8817
Ca 0.3944 0.0000 0.1183
Ca 0.3944 0.0000 0.3817
Ca 0.3944 0.3944 0.6183
Ca 0.3944 0.3944 0.8817
Ca 0.6056 0.0000 0.6183
Ca 0.6056 0.0000 0.8817
Ca 0.6056 0.6056 0.1183
Ca 0.6056 0.6056 0.3817
Mn 0.0000 0.0000 0.2500
Mn 0.0000 0.0000 0.7500
N 0.0000 0.2862 0.7500
N 0.0000 0.7138 0.2500
N 0.2862 0.0000 0.7500
N 0.2862 0.2862 0.2500
N 0.3333 0.6667 0.0000
N 0.3333 0.6667 0.5000
N 0.6667 0.3333 0.0000
N 0.6667 0.3333 0.5000
N 0.7138 0.0000 0.2500
N 0.7138 0.7138 0.7500